No. 1
Structure and theoretical powder diffraction line list of RbTl2BiPb (a DFT-relaxed cell (PBE, Alexandria); Cu Kα (λ = 1.5418 Å)).
Kinematic intensities with the Lorentz-polarization factor, no thermal factor.

Top 6 peaks for 10° ≤ 2θ ≤ 90°, low angle first:
2θ (°)	Rel. int.
12.12	35.9
26.60	37.0
27.71	100.0
31.44	50.7
34.52	43.0
35.07	85.3

Crystal structure
Lattice parameters (Å, degrees): 8.1697 8.1697 8.1697 147.15 139.23 53.31
Element x y z (fractional)
Rb (0.0000, 0.0000, 0.0000)
Tl (0.6178, 0.6178, 0.0000)
Tl (0.7754, 0.2754, 0.5000)
Bi (0.3895, 0.3895, 0.0000)
Pb (0.2408, 0.7408, 0.5000)



No. 2
Structure and theoretical powder diffraction line list of RbTl2Bi2Pb (a DFT-relaxed cell (PBE, Alexandria); Cu Kα (λ = 1.5418 Å)).
Kinematic intensities with the Lorentz-polarization factor, no thermal factor.

Top 6 peaks for 10° ≤ 2θ ≤ 90°, low angle first:
2θ (°)	Rel. int.
10.61	44.4
28.27	96.8
32.08	100.0
37.33	40.0
43.28	31.3
54.88	31.5

Crystal structure
Lattice parameters (Å, degrees): 5.5804 5.5804 8.3361 90.00 90.00 120.00
Element x y z (fractional)
Rb (0.0000, 0.0000, 0.0000)
Tl (0.3333, 0.6667, 0.7645)
Tl (0.6667, 0.3333, 0.2355)
Bi (0.3333, 0.6667, 0.3697)
Bi (0.6667, 0.3333, 0.6303)
Pb (0.0000, 0.0000, 0.5000)